# 1
For NaSrBiWO6, a crystal structure in the Materials Project, relaxed with PBE+U gives the simulated powder diffractogram in this record (copper Kα).
Peak positions follow from Bragg's law for the DFT cell and can differ from measured ones.

Crystal structure
```
data_NaSrBiWO6
_chemical_formula_sum 'Na4 Sr4 Bi4 W4 O24'
_cell_length_a 8.507
_cell_length_b 8.507
_cell_length_c 8.507
_cell_angle_alpha 90.00
_cell_angle_beta 90.00
_cell_angle_gamma 90.00
_symmetry_space_group_name_H-M 'F -4 3 m'
_symmetry_Int_Tables_number 216
_symmetry_space_group_name_Hall 'F -4 2 3'
loop_
_atom_site_label
_atom_site_fract_x
_atom_site_fract_y
_atom_site_fract_z
Na1 0.000 0.000 0.000
Sr1 0.000 0.000 0.500
Bi1 0.250 0.250 0.750
W1 0.250 0.250 0.250
O1 0.021 0.250 0.250
```

Peak list (6 most intense, 10° ≤ 2θ ≤ 90°, low angle first)
4.253 Å, 20.88 deg, rel. 518, hkl 2 0 0; 3.008 Å, 29.70 deg, rel. 1000, hkl 2 2 0; 2.127 Å, 42.51 deg, rel. 303, hkl 4 0 0; 1.902 Å, 47.82 deg, rel. 232, hkl 4 2 0; 1.736 Å, 52.71 deg, rel. 413, hkl 4 2 2; 1.137 Å, 85.40 deg, rel. 227, hkl 6 4 2

---

# 2
For TiNbBi5WO15, a crystal structure in the Materials Project, relaxed with PBE+U gives the simulated powder diffractogram in this record (copper Kα).
Peak positions follow from Bragg's law for the DFT cell and can differ from measured ones.

Crystal structure
```
data_TiNbBi5WO15
_chemical_formula_sum 'Ti4 Nb4 Bi20 W4 O60'
_cell_length_a 42.938
_cell_length_b 5.527
_cell_length_c 5.478
_cell_angle_alpha 90.00
_cell_angle_beta 97.05
_cell_angle_gamma 90.00
_symmetry_space_group_name_H-M 'C 1 2 1'
_symmetry_Int_Tables_number 5
loop_
_symmetry_equiv_pos_as_xyz
'x,y,z'
'-x,y,-z'
'x+1/2,y+1/2,z'
'-x+1/2,y+1/2,-z'
loop_
_atom_site_label
_atom_site_fract_x
_atom_site_fract_y
_atom_site_fract_z
Ti1 0.198 0.000 0.200
Nb1 0.198 0.504 0.704
Bi1 0.070 0.443 0.593
Bi2 0.070 0.941 0.042
Bi3 0.130 0.442 0.149
Bi4 0.130 0.945 0.596
Bi5 0.249 0.953 0.753
W1 0.000 0.490 0.000
W2 0.000 0.990 0.500
O1 0.009 0.265 0.255
O2 0.009 0.765 0.261
O3 0.043 0.040 0.625
O4 0.043 0.541 0.958
O5 0.100 0.215 0.355
O6 0.100 0.217 0.857
O7 0.100 0.715 0.337
O8 0.100 0.716 0.838
O9 0.155 0.518 0.587
O10 0.157 0.018 0.230
O11 0.198 0.323 0.005
O12 0.198 0.828 0.899
O13 0.211 0.243 0.498
O14 0.211 0.747 0.428
O15 0.250 0.050 0.168
```

Peak list (6 most intense, 10° ≤ 2θ ≤ 90°, low angle first)
3.147 Å, 28.36 deg, rel. 1000, hkl 7 1 1; 3.137 Å, 28.46 deg, rel. 969, hkl 9 1 -1; 2.763 Å, 32.40 deg, rel. 345, hkl 0 2 0; 2.739 Å, 32.69 deg, rel. 324, hkl 2 0 -2; 1.945 Å, 46.69 deg, rel. 328, hkl 2 2 -2; 1.916 Å, 47.44 deg, rel. 313, hkl 14 0 2

---

# 3
For SrNdNiBiO6, a crystal structure in the Materials Project, relaxed with PBE+U gives the simulated powder diffractogram in this record (copper Kα).
Peak positions follow from Bragg's law for the DFT cell and can differ from measured ones.

Crystal structure
```
data_SrNdNiBiO6
_chemical_formula_sum 'Sr4 Nd4 Ni4 Bi4 O24'
_cell_length_a 8.166
_cell_length_b 8.166
_cell_length_c 8.166
_cell_angle_alpha 90.00
_cell_angle_beta 90.00
_cell_angle_gamma 90.00
_symmetry_space_group_name_H-M 'F -4 3 m'
_symmetry_Int_Tables_number 216
_symmetry_space_group_name_Hall 'F -4 2 3'
loop_
_atom_site_label
_atom_site_fract_x
_atom_site_fract_y
_atom_site_fract_z
Sr1 0.000 0.000 0.000
Nd1 0.000 0.000 0.500
Ni1 0.250 0.250 0.750
Bi1 0.250 0.250 0.250
O1 0.004 0.250 0.750
```

Peak list (6 most intense, 10° ≤ 2θ ≤ 90°, low angle first)
4.715 Å, 18.82 deg, rel. 214, hkl 1 1 1; 2.887 Å, 30.97 deg, rel. 1000, hkl 2 2 0; 2.042 Å, 44.37 deg, rel. 300, hkl 4 0 0; 1.667 Å, 55.09 deg, rel. 405, hkl 4 2 2; 1.444 Å, 64.55 deg, rel. 186, hkl 4 4 0; 1.091 Å, 89.89 deg, rel. 223, hkl 6 4 2

---

# 4
For Ni3Bi10O20, a crystal structure in the Materials Project, relaxed with PBE+U gives the simulated powder diffractogram in this record (copper Kα).
Peak positions follow from Bragg's law for the DFT cell and can differ from measured ones.

Crystal structure
```
data_Ni3Bi10O20
_chemical_formula_sum 'Ni6 Bi20 O40'
_cell_length_a 14.315
_cell_length_b 10.015
_cell_length_c 10.027
_cell_angle_alpha 90.00
_cell_angle_beta 134.37
_cell_angle_gamma 90.00
_symmetry_space_group_name_H-M 'C 1 2 1'
_symmetry_Int_Tables_number 5
loop_
_symmetry_equiv_pos_as_xyz
'x,y,z'
'-x,y,-z'
'x+1/2,y+1/2,z'
'-x+1/2,y+1/2,-z'
loop_
_atom_site_label
_atom_site_fract_x
_atom_site_fract_y
_atom_site_fract_z
Ni1 0.000 0.000 0.000
Ni2 0.213 0.977 0.885
Bi1 0.017 0.319 0.192
Bi2 0.018 0.687 0.841
Bi3 0.167 0.011 0.499
Bi4 0.185 0.326 0.711
Bi5 0.186 0.674 0.681
O1 0.005 0.248 0.635
O2 0.016 0.751 0.389
O3 0.104 0.110 0.996
O4 0.107 0.884 0.207
O5 0.124 0.510 0.862
O6 0.138 0.492 0.382
O7 0.191 0.817 0.984
O8 0.195 0.193 0.388
O9 0.244 0.123 0.757
O10 0.249 0.872 0.760
```

Peak list (6 most intense, 10° ≤ 2θ ≤ 90°, low angle first)
3.579 Å, 24.88 deg, rel. 305, hkl 4 0 -2; 3.229 Å, 27.63 deg, rel. 489, hkl 4 0 -1; 3.172 Å, 28.13 deg, rel. 1000, hkl 1 3 0; 2.913 Å, 30.69 deg, rel. 348, hkl 0 2 2; 2.693 Å, 33.27 deg, rel. 403, hkl 3 3 -1; 2.682 Å, 33.40 deg, rel. 329, hkl 4 2 -3

---

# 5
For NiBiO3, a crystal structure in the Materials Project, relaxed with PBE+U gives the simulated powder diffractogram in this record (copper Kα).
Peak positions follow from Bragg's law for the DFT cell and can differ from measured ones.

Crystal structure
```
data_NiBiO3
_chemical_formula_sum 'Ni2 Bi2 O6'
_cell_length_a 5.619
_cell_length_b 5.462
_cell_length_c 3.871
_cell_angle_alpha 90.00
_cell_angle_beta 91.01
_cell_angle_gamma 90.00
_symmetry_space_group_name_H-M 'C 1 m 1'
_symmetry_Int_Tables_number 8
loop_
_symmetry_equiv_pos_as_xyz
'x,y,z'
'x,-y,z'
'x+1/2,y+1/2,z'
'x+1/2,-y+1/2,z'
loop_
_atom_site_label
_atom_site_fract_x
_atom_site_fract_y
_atom_site_fract_z
Ni1 0.000 0.000 0.000
Bi1 0.428 0.000 0.539
O1 0.030 0.000 0.497
O2 0.276 0.233 0.986
```

Peak list (6 most intense, 10° ≤ 2θ ≤ 90°, low angle first)
3.916 Å, 22.71 deg, rel. 500, hkl 1 1 0; 2.809 Å, 31.85 deg, rel. 326, hkl 2 0 0; 2.770 Å, 32.32 deg, rel. 640, hkl 1 1 -1; 2.734 Å, 32.75 deg, rel. 1000, hkl 0 2 0; 2.231 Å, 40.42 deg, rel. 209, hkl 0 2 1; 1.958 Å, 46.37 deg, rel. 303, hkl 2 2 0

---

# 6
For NiBiO3, a crystal structure in the Materials Project, relaxed with PBE+U gives the simulated powder diffractogram in this record (copper Kα).
Peak positions follow from Bragg's law for the DFT cell and can differ from measured ones.

Crystal structure
```
data_NiBiO3
_chemical_formula_sum 'Ni6 Bi6 O18'
_cell_length_a 5.4977
_cell_length_b 5.4977
_cell_length_c 14.6463
_cell_angle_alpha 90.00
_cell_angle_beta 90.00
_cell_angle_gamma 120.00
_symmetry_space_group_name_H-M 'R 3'
_symmetry_Int_Tables_number 146
_symmetry_space_group_name_Hall 'R 3'
loop_
_atom_site_label
_atom_site_fract_x
_atom_site_fract_y
_atom_site_fract_z
Ni1 0.0000 0.0000 0.0000
Ni2 0.0000 0.0000 0.4972
Bi1 0.0000 0.0000 0.2839
Bi2 0.0000 0.0000 0.7958
O1 0.0355 0.6858 0.0702
O2 0.0754 0.3557 0.5659
```

Peak list (6 most intense, 10° ≤ 2θ ≤ 90°, low angle first)
3.992 Å, 22.27 deg, rel. 870, hkl 0 1 2; 2.902 Å, 30.81 deg, rel. 1000, hkl 1 0 4; 2.749 Å, 32.57 deg, rel. 947, hkl 1 1 0; 1.996 Å, 45.44 deg, rel. 396, hkl 0 2 4; 1.825 Å, 49.97 deg, rel. 478, hkl 2 -1 6; 1.615 Å, 57.02 deg, rel. 386, hkl 3 -1 4

---

Q: Number 5 is which compound?
A: NiBiO3